Entry 1:
The following is a calculated powder X-ray diffraction pattern of LaTmInRu. It was derived from a crystal structure in Alexandria, relaxed with GGA-PBE, using Cu Kα.
Neutral-atom scattering factors, no anomalous dispersion.

The 10 most intense peaks (2θ from 10° to 90°), low angle first:
2θ = 21.1°, rel. 1, (1 1 1)
2θ = 24.4°, rel. 3, (2 0 0)
2θ = 34.8°, rel. 100, (2 2 0)
2θ = 42.9°, rel. 1, (2 2 2)
2θ = 50.0°, rel. 18, (4 0 0)
2θ = 56.4°, rel. 1, (4 2 0)
2θ = 62.3°, rel. 36, (4 2 2)
2θ = 73.4°, rel. 11, (4 4 0)
2θ = 78.6°, rel. 1, (6 0 0)
2θ = 83.8°, rel. 16, (6 2 0)

Cell and atoms:
```
data_LaTmInRu
_chemical_formula_sum 'La4 Tm4 In4 Ru4'
_cell_length_a 7.301
_cell_length_b 7.301
_cell_length_c 7.301
_cell_angle_alpha 90.00
_cell_angle_beta 90.00
_cell_angle_gamma 90.00
_symmetry_space_group_name_H-M 'F -4 3 m'
_symmetry_Int_Tables_number 216
_symmetry_space_group_name_Hall 'F -4 2 3'
loop_
_atom_site_label
_atom_site_fract_x
_atom_site_fract_y
_atom_site_fract_z
La1 0.000 0.000 0.000
Tm1 0.000 0.000 0.500
In1 0.250 0.250 0.250
Ru1 0.250 0.250 0.750
```


Entry 2:
The following is a calculated powder X-ray diffraction pattern of La3InS6. It was derived from a crystal structure in Alexandria, relaxed with GGA-PBE, using Cu Kα.
Neutral-atom scattering factors, no anomalous dispersion.

The 10 most intense peaks (2θ from 10° to 90°), low angle first:
2θ = 24.5°, rel. 100, (2 4 0)
2θ = 25.0°, rel. 47, (1 2 1)
2θ = 25.7°, rel. 39, (2 1 1)
2θ = 29.8°, rel. 35, (2 3 1)
2θ = 30.9°, rel. 36, (3 2 1)
2θ = 33.1°, rel. 45, (3 3 1)
2θ = 34.3°, rel. 53, (0 5 1)
2θ = 39.3°, rel. 31, (5 1 1)
2θ = 43.3°, rel. 33, (0 7 1)
2θ = 44.2°, rel. 41, (0 0 2)

Cell and atoms:
```
data_La3InS6
_chemical_formula_sum 'La12 In4 S24'
_cell_length_a 14.017
_cell_length_b 17.018
_cell_length_c 4.095
_cell_angle_alpha 90.00
_cell_angle_beta 90.00
_cell_angle_gamma 90.00
_symmetry_space_group_name_H-M 'P 21 21 2'
_symmetry_Int_Tables_number 18
_symmetry_space_group_name_Hall 'P 2 2ab'
loop_
_atom_site_label
_atom_site_fract_x
_atom_site_fract_y
_atom_site_fract_z
La1 0.035 0.221 0.247
La2 0.192 0.642 0.246
La3 0.248 0.389 0.242
In1 0.000 0.000 0.921
In2 0.000 0.500 0.746
S1 0.020 0.398 0.246
S2 0.104 0.911 0.263
S3 0.105 0.109 0.749
S4 0.115 0.742 0.747
S5 0.176 0.282 0.744
S6 0.188 0.517 0.746
```


Entry 3:
The following is a calculated powder X-ray diffraction pattern of La8ScIn2. It was derived from a crystal structure in Alexandria, relaxed with GGA-PBE, using Cu Kα.
Neutral-atom scattering factors, no anomalous dispersion.

The 10 most intense peaks (2θ from 10° to 90°), low angle first:
2θ = 26.6°, rel. 13, (1 2 1)
2θ = 30.1°, rel. 25, (1 1 4)
2θ = 30.3°, rel. 20, (0 3 1)
2θ = 31.2°, rel. 100, (1 2 3)
2θ = 33.8°, rel. 29, (2 0 0)
2θ = 34.5°, rel. 18, (0 0 6)
2θ = 46.0°, rel. 13, (2 3 1)
2θ = 49.1°, rel. 13, (2 0 6)
2θ = 58.9°, rel. 16, (3 2 3)
2θ = 59.0°, rel. 12, (1 5 4)

Cell and atoms:
```
data_La8ScIn2
_chemical_formula_sum 'La16 Sc2 In4'
_cell_length_a 5.299
_cell_length_b 9.023
_cell_length_c 15.612
_cell_angle_alpha 90.00
_cell_angle_beta 90.00
_cell_angle_gamma 90.00
_symmetry_space_group_name_H-M 'I m m m'
_symmetry_Int_Tables_number 71
_symmetry_space_group_name_Hall '-I 2 2'
loop_
_atom_site_label
_atom_site_fract_x
_atom_site_fract_y
_atom_site_fract_z
La1 0.000 0.000 0.145
La2 0.000 0.220 0.343
La3 0.000 0.330 0.000
Sc1 0.000 0.500 0.500
In1 0.000 0.500 0.197
```